1.
This entry pairs a crystal structure of Sn5Pd12Se2 with its theoretical powder X-ray diffraction pattern. Radiation: Cu Kα X-rays. Structure: a structure optimized by DFT (PBE).
Kinematic intensities with the Lorentz-polarization factor, no thermal factor.

Cell and atoms:
Cell lengths 8.0849, 8.0849, 7.1816 Å; angles 106.73, 106.73, 55.53 degrees
Fractional positions:
Sn: 0.0000 0.0000 0.0000
Sn: 0.2327 0.2327 0.0276
Sn: 0.2815 0.2815 0.6313
Sn: 0.7185 0.7185 0.3687
Sn: 0.7673 0.7673 0.9724
Pd: 0.0776 0.0776 0.6987
Pd: 0.1129 0.5097 0.3419
Pd: 0.1794 0.5886 0.9742
Pd: 0.4114 0.8206 0.0258
Pd: 0.4789 0.4789 0.7476
Pd: 0.4903 0.8871 0.6581
Pd: 0.5097 0.1129 0.3419
Pd: 0.5211 0.5211 0.2524
Pd: 0.5886 0.1794 0.9742
Pd: 0.8206 0.4114 0.0258
Pd: 0.8871 0.4903 0.6581
Pd: 0.9224 0.9224 0.3013
Se: 0.2722 0.7278 0.5000
Se: 0.7278 0.2722 0.5000

Most intense lines, 10 to 90 degrees two-theta, by angle:
2θ = 34.8°, intensity 81
2θ = 35.7°, intensity 62
2θ = 37.1°, intensity 73
2θ = 39.1°, intensity 50
2θ = 39.6°, intensity 29
2θ = 39.8°, intensity 57
2θ = 41.2°, intensity 100
2θ = 41.5°, intensity 48
2θ = 44.1°, intensity 60
2θ = 45.0°, intensity 41
2θ = 48.3°, intensity 38
2θ = 70.4°, intensity 31

---

2.
This entry pairs a crystal structure of SrPd3Se4 with its theoretical powder X-ray diffraction pattern. Radiation: Cu Kα X-rays. Structure: a structure optimized by DFT (PBE).
Kinematic intensities with the Lorentz-polarization factor, no thermal factor.

Cell and atoms:
Cell lengths 7.1246, 7.1246, 7.1246 Å; angles 90.00, 90.00, 90.00 degrees
Fractional positions:
Sr: 0.0000 0.0000 0.0000
Sr: 0.5000 0.5000 0.5000
Pd: 0.0000 0.2500 0.5000
Pd: 0.0000 0.7500 0.5000
Pd: 0.2500 0.5000 0.0000
Pd: 0.5000 0.0000 0.2500
Pd: 0.5000 0.0000 0.7500
Pd: 0.7500 0.5000 0.0000
Se: 0.2500 0.2500 0.2500
Se: 0.2500 0.2500 0.7500
Se: 0.2500 0.7500 0.2500
Se: 0.2500 0.7500 0.7500
Se: 0.7500 0.2500 0.2500
Se: 0.7500 0.2500 0.7500
Se: 0.7500 0.7500 0.2500
Se: 0.7500 0.7500 0.7500

Most intense lines, 10 to 90 degrees two-theta, by angle:
2θ = 28.0°, intensity 100
2θ = 30.7°, intensity 64
2θ = 35.6°, intensity 50
2θ = 44.0°, intensity 63
2θ = 45.9°, intensity 25
2θ = 47.8°, intensity 37
2θ = 51.3°, intensity 52
2θ = 59.5°, intensity 23
2θ = 64.0°, intensity 18
2θ = 71.3°, intensity 20
2θ = 75.5°, intensity 32
2θ = 83.7°, intensity 11

---

3.
This entry pairs a crystal structure of TaPd2Se6 with its theoretical powder X-ray diffraction pattern. Radiation: Cu Kα X-rays. Structure: a structure optimized by DFT (PBE).
Kinematic intensities with the Lorentz-polarization factor, no thermal factor.

Cell and atoms:
Cell lengths 7.0865, 7.0865, 7.0865 Å; angles 51.35, 51.35, 51.35 degrees
Fractional positions:
Ta: 0.0000 0.0000 0.0000
Pd: 0.1615 0.1615 0.1615
Pd: 0.3392 0.3392 0.3392
Se: 0.0513 0.4348 0.7547
Se: 0.2706 0.9121 0.5707
Se: 0.4348 0.7547 0.0513
Se: 0.5707 0.2706 0.9121
Se: 0.7547 0.0513 0.4348
Se: 0.9121 0.5707 0.2706

Most intense lines, 10 to 90 degrees two-theta, by angle:
2θ = 14.4°, intensity 23
2θ = 17.4°, intensity 66
2θ = 29.5°, intensity 28
2θ = 32.6°, intensity 98
2θ = 34.1°, intensity 19
2θ = 41.6°, intensity 100
2θ = 45.4°, intensity 16
2θ = 51.6°, intensity 49
2θ = 53.9°, intensity 30
2θ = 68.3°, intensity 23
2θ = 83.3°, intensity 24
2θ = 85.1°, intensity 17

---

4.
This entry pairs a crystal structure of Tb5PdSe4 with its theoretical powder X-ray diffraction pattern. Radiation: Cu Kα X-rays. Structure: a structure optimized by DFT (PBE).
Kinematic intensities with the Lorentz-polarization factor, no thermal factor.

Cell and atoms:
Cell lengths 7.2056, 7.2056, 10.1730 Å; angles 118.76, 118.76, 32.51 degrees
Fractional positions:
Tb: 0.0000 0.0000 0.0000
Tb: 0.1979 0.1979 0.7962
Tb: 0.4058 0.4058 0.5964
Tb: 0.5942 0.5942 0.4036
Tb: 0.8021 0.8021 0.2038
Pd: 0.0000 0.0000 0.5000
Se: 0.1975 0.1975 0.3002
Se: 0.3971 0.3971 0.0939
Se: 0.6029 0.6029 0.9061
Se: 0.8025 0.8025 0.6998

Most intense lines, 10 to 90 degrees two-theta, by angle:
2θ = 26.2°, intensity 13
2θ = 26.9°, intensity 12
2θ = 30.7°, intensity 51
2θ = 30.8°, intensity 100
2θ = 43.3°, intensity 19
2θ = 44.0°, intensity 75
2θ = 44.9°, intensity 18
2θ = 53.9°, intensity 10
2θ = 54.1°, intensity 10
2θ = 55.4°, intensity 19
2θ = 64.2°, intensity 12
2θ = 82.3°, intensity 12

---

5.
This entry pairs a crystal structure of TcPdSe3 with its theoretical powder X-ray diffraction pattern. Radiation: Cu Kα X-rays. Structure: a structure optimized by DFT (PBE).
Kinematic intensities with the Lorentz-polarization factor, no thermal factor.

Cell and atoms:
Cell lengths 4.0884, 5.0386, 5.0386 Å; angles 104.62, 90.00, 90.00 degrees
Fractional positions:
Tc: 0.0000 0.0000 0.0000
Pd: 0.5000 0.6299 0.6299
Se: 0.0000 0.4783 0.8559
Se: 0.0000 0.8559 0.4783
Se: 0.5000 0.2097 0.2097

Most intense lines, 10 to 90 degrees two-theta, by angle:
2θ = 22.3°, intensity 24
2θ = 28.5°, intensity 31
2θ = 29.0°, intensity 35
2θ = 31.3°, intensity 27
2θ = 36.8°, intensity 17
2θ = 43.2°, intensity 100
2θ = 44.3°, intensity 25
2θ = 45.6°, intensity 12
2θ = 51.1°, intensity 11
2θ = 53.8°, intensity 12
2θ = 65.4°, intensity 15
2θ = 80.8°, intensity 16

---

6.
This entry pairs a crystal structure of Th8Tc3PdSe4 with its theoretical powder X-ray diffraction pattern. Radiation: Cu Kα X-rays. Structure: a structure optimized by DFT (PBE).
Kinematic intensities with the Lorentz-polarization factor, no thermal factor.

Cell and atoms:
Cell lengths 8.2436, 8.2436, 8.7882 Å; angles 117.96, 117.96, 60.01 degrees
Fractional positions:
Th: 0.2270 0.7454 0.7166
Th: 0.2395 0.2395 0.7178
Th: 0.2552 0.2552 0.2846
Th: 0.2546 0.7730 0.2834
Th: 0.7454 0.2270 0.7166
Th: 0.7448 0.7448 0.7154
Th: 0.7605 0.7605 0.2822
Th: 0.7730 0.2546 0.2834
Tc: 0.0000 0.0000 0.5000
Tc: 0.0000 0.5000 0.5000
Tc: 0.5000 0.0000 0.5000
Pd: 0.5000 0.5000 0.5000
Se: 0.0000 0.0000 0.0000
Se: 0.0000 0.5000 0.0000
Se: 0.5000 0.0000 0.0000
Se: 0.5000 0.5000 0.0000

Most intense lines, 10 to 90 degrees two-theta, by angle:
2θ = 12.0°, intensity 10
2θ = 24.1°, intensity 7
2θ = 26.2°, intensity 24
2θ = 29.8°, intensity 100
2θ = 38.0°, intensity 8
2θ = 41.2°, intensity 35
2θ = 43.9°, intensity 37
2θ = 54.0°, intensity 19
2θ = 61.8°, intensity 11
2θ = 68.2°, intensity 12
2θ = 72.0°, intensity 16
2θ = 78.9°, intensity 10